This entry pairs a crystal structure of NaIrRu with its simulated powder diffractogram. Radiation: a wavelength of 1.5418 Å. Structure: a structure optimized by DFT (GGA-PBE).
Peak positions follow from Bragg's law for the DFT cell and can differ from measured ones.

The 10 most intense peaks (2θ = 10–90°), by intensity:
2θ 16.6, d = 5.350 Å, I 100
2θ 40.7, d = 2.219 Å, I 40
2θ 34.2, d = 2.625 Å, I 37
2θ 44.2, d = 2.050 Å, I 33
2θ 41.9, d = 2.155 Å, I 20
2θ 48.6, d = 1.874 Å, I 16
2θ 46.8, d = 1.940 Å, I 13
2θ 50.0, d = 1.823 Å, I 12
2θ 64.6, d = 1.442 Å, I 11
2θ 53.7, d = 1.708 Å, I 10

Crystal structure
```
12
Lattice="11.031 0.000 0.000 0.000 3.879 0.000 -1.316 0.000 5.248" Properties=species:S:1:pos:R:3 pbc="T T T"
Na -0.324 0.000 1.336
Na 4.524 1.940 3.913
Na 5.191 1.940 1.336
Na 10.040 0.000 3.913
Ir 1.509 1.940 3.194
Ir 2.691 0.000 2.054
Ir 7.025 0.000 3.194
Ir 8.207 1.940 2.054
Ru 2.148 1.940 0.517
Ru 2.052 0.000 4.731
Ru 7.663 0.000 0.517
Ru 7.568 1.940 4.731
```

This entry pairs a crystal structure of HfScSnO6 with its simulated powder diffractogram. Radiation: a wavelength of 1.5418 Å. Structure: a structure optimized by DFT (GGA-PBE).
Peak positions follow from Bragg's law for the DFT cell and can differ from measured ones.

The 10 most intense peaks (2θ = 10–90°), by intensity:
2θ 25.8, d = 3.449 Å, I 100
2θ 33.2, d = 2.697 Å, I 79
2θ 50.5, d = 1.809 Å, I 68
2θ 20.4, d = 4.358 Å, I 35
2θ 36.9, d = 2.439 Å, I 22
2θ 64.1, d = 1.453 Å, I 21
2θ 53.1, d = 1.724 Å, I 17
2θ 63.5, d = 1.465 Å, I 16
2θ 60.0, d = 1.542 Å, I 16
2θ 76.3, d = 1.248 Å, I 13

Crystal structure
```
18
Lattice="4.877 0.000 0.000 0.000 4.877 0.000 0.000 0.000 9.709" Properties=species:S:1:pos:R:3 pbc="T T T"
Hf 0.000 0.000 0.000
Hf 2.439 2.439 4.854
Sc 0.000 0.000 3.212
Sc 2.439 2.439 8.066
Sn 0.000 0.000 6.455
Sn 2.439 2.439 1.601
O 0.944 0.944 8.074
O 0.962 0.962 1.567
O 0.962 0.962 4.864
O 1.477 3.400 0.010
O 1.477 3.400 6.421
O 1.495 3.382 3.220
O 3.382 1.495 3.220
O 3.400 1.477 0.010
O 3.400 1.477 6.421
O 3.915 3.915 1.567
O 3.916 3.916 4.864
O 3.933 3.933 8.074
```

This entry pairs a crystal structure of Li7Pr3Ag4 with its simulated powder diffractogram. Radiation: a wavelength of 1.5418 Å. Structure: a structure optimized by DFT (GGA-PBE).
Peak positions follow from Bragg's law for the DFT cell and can differ from measured ones.

The 10 most intense peaks (2θ = 10–90°), by intensity:
2θ 34.2, d = 2.624 Å, I 100
2θ 32.8, d = 2.733 Å, I 77
2θ 20.6, d = 4.305 Å, I 62
2θ 28.5, d = 3.128 Å, I 58
2θ 40.2, d = 2.244 Å, I 42
2θ 41.3, d = 2.185 Å, I 40
2θ 26.1, d = 3.414 Å, I 38
2θ 32.5, d = 2.754 Å, I 36
2θ 10.3, d = 8.609 Å, I 35
2θ 33.7, d = 2.661 Å, I 34

Crystal structure
```
14
Lattice="8.227 -2.185 0.000 8.227 2.185 0.000 -6.078 0.000 8.609" Properties=species:S:1:pos:R:3 pbc="T T T"
Li 0.000 0.000 0.000
Li -3.006 0.000 7.999
Li 2.359 0.000 4.238
Li 6.839 0.000 1.626
Li 3.538 0.000 6.984
Li 8.018 0.000 4.372
Li 13.382 0.000 0.611
Pr -3.039 0.000 4.305
Pr 0.159 0.000 6.724
Pr 10.218 0.000 1.885
Ag -0.183 0.000 2.778
Ag 4.221 0.000 2.063
Ag 6.156 0.000 6.546
Ag 10.560 0.000 5.831
```

This entry pairs a crystal structure of LiPu3Sc3S8 with its simulated powder diffractogram. Radiation: a wavelength of 1.5418 Å. Structure: a structure optimized by DFT (GGA-PBE).
Peak positions follow from Bragg's law for the DFT cell and can differ from measured ones.

The 10 most intense peaks (2θ = 10–90°), by intensity:
2θ 33.4, d = 2.686 Å, I 100
2θ 14.2, d = 6.217 Å, I 75
2θ 27.6, d = 3.234 Å, I 43
2θ 28.8, d = 3.097 Å, I 38
2θ 48.0, d = 1.895 Å, I 35
2θ 47.8, d = 1.903 Å, I 35
2θ 16.5, d = 5.371 Å, I 34
2θ 23.4, d = 3.798 Å, I 30
2θ 36.4, d = 2.467 Å, I 26
2θ 56.9, d = 1.618 Å, I 20

Crystal structure
```
15
Lattice="3.791 2.189 6.226 -3.791 2.189 6.226 0.000 -4.377 6.226" Properties=species:S:1:pos:R:3 pbc="T T T"
Li 0.000 0.000 0.000
Pu -3.791 0.000 9.339
Pu -1.895 1.094 3.113
Pu 1.895 1.094 3.113
Sc -1.895 -1.094 6.226
Sc -1.895 1.094 12.452
Sc 0.000 2.189 6.226
S 0.000 -2.156 7.686
S -1.867 1.078 7.686
S 0.000 0.000 4.778
S -1.867 -1.078 10.991
S 1.867 1.078 7.686
S 0.000 0.000 13.900
S 1.867 -1.078 10.991
S 0.000 2.156 10.991
```

This entry pairs a crystal structure of Nd5DyAl2 with its simulated powder diffractogram. Radiation: a wavelength of 1.5418 Å. Structure: a structure optimized by DFT (GGA-PBE).
Peak positions follow from Bragg's law for the DFT cell and can differ from measured ones.

The 10 most intense peaks (2θ = 10–90°), by intensity:
2θ 33.0, d = 2.718 Å, I 100
2θ 32.8, d = 2.728 Å, I 59
2θ 25.9, d = 3.435 Å, I 57
2θ 58.8, d = 1.570 Å, I 41
2θ 57.0, d = 1.616 Å, I 30
2θ 47.2, d = 1.926 Å, I 21
2θ 23.1, d = 3.851 Å, I 19
2θ 29.2, d = 3.056 Å, I 17
2θ 42.4, d = 2.131 Å, I 15
2θ 54.7, d = 1.677 Å, I 15

Crystal structure
```
16
Lattice="5.436 0.000 0.000 -2.718 4.708 0.000 0.000 0.000 20.089" Properties=species:S:1:pos:R:3 pbc="T T T"
Nd 0.000 0.000 3.117
Nd 0.000 0.000 6.928
Nd 0.000 0.000 13.161
Nd 0.000 0.000 16.972
Nd 0.000 3.138 1.109
Nd 0.000 3.138 5.022
Nd 0.000 3.138 8.936
Nd 2.718 1.569 11.153
Nd 2.718 1.569 15.067
Nd 2.718 1.569 18.981
Dy 0.000 3.138 15.067
Dy 2.718 1.569 5.022
Al 0.000 3.138 12.078
Al 0.000 3.138 18.056
Al 2.718 1.569 2.033
Al 2.718 1.569 8.011
```

This entry pairs a crystal structure of Ti3As with its simulated powder diffractogram. Radiation: a wavelength of 1.5418 Å. Structure: a structure optimized by DFT (GGA-PBE).
Peak positions follow from Bragg's law for the DFT cell and can differ from measured ones.

The 10 most intense peaks (2θ = 10–90°), by intensity:
2θ 37.5, d = 2.400 Å, I 100
2θ 40.6, d = 2.222 Å, I 97
2θ 45.4, d = 1.997 Å, I 84
2θ 36.4, d = 2.470 Å, I 66
2θ 39.6, d = 2.277 Å, I 63
2θ 43.6, d = 2.078 Å, I 57
2θ 26.3, d = 3.394 Å, I 34
2θ 48.1, d = 1.891 Å, I 30
2θ 77.3, d = 1.235 Å, I 24
2θ 75.2, d = 1.263 Å, I 24

Crystal structure
```
16
Lattice="-5.093 5.093 2.544 5.093 -5.093 2.544 5.093 5.093 -2.544" Properties=species:S:1:pos:R:3 pbc="T T T"
Ti 2.893 3.233 -1.232
Ti 4.823 1.442 -0.118
Ti 5.919 4.004 -1.099
Ti -0.826 1.089 1.445
Ti 2.200 1.860 1.312
Ti 3.651 -0.270 2.662
Ti 6.953 2.893 1.232
Ti 1.442 5.363 0.118
Ti 4.004 4.267 1.099
Ti 1.089 0.826 3.643
Ti 0.270 3.651 2.426
Ti -1.860 2.200 3.776
As 7.228 0.383 0.136
As 0.383 2.958 -0.136
As 4.710 2.135 2.408
As -2.135 4.710 2.680
```